The following is a calculated XRD peak list of Sr2BiO4. It was derived from DFT lattice parameters and positions (GGA-PBE), using Cu Kα, 1.54184 Å.
No peak broadening, texture or thermal motion is included.

abc: 6.224 10.430 3.601
angles: 90.00 90.00 90.00
Sites, in units of the cell vectors:
Sr  0.072  0.181  0.000
Sr  0.428  0.681  0.000
Sr  0.572  0.319  0.000
Sr  0.928  0.819  0.000
Bi  0.000  0.500  0.500
Bi  0.500  0.000  0.500
O  0.139  0.698  0.500
O  0.226  0.453  0.000
O  0.274  0.953  0.000
O  0.361  0.198  0.500
O  0.639  0.802  0.500
O  0.726  0.047  0.000
O  0.774  0.547  0.000
O  0.861  0.302  0.500

Largest 10 diffraction maxima, low angle first, 10 to 90 degrees two-theta:
| index | 2θ (°) | I (rel.) |
| --- | --- | --- |
| 1 1 0 | 16.59 | 57 |
| 2 0 0 | 28.69 | 26 |
| 1 3 0 | 29.43 | 77 |
| 1 1 1 | 29.92 | 100 |
| 0 2 1 | 30.16 | 43 |
| 2 1 1 | 39.22 | 15 |
| 2 2 1 | 42.11 | 47 |
| 2 4 1 | 52.35 | 14 |
| 1 5 1 | 52.81 | 33 |
| 1 3 2 | 59.71 | 22 |